This entry pairs a crystal structure of FeH4C2O6 with its simulated XRD peak list. Radiation: copper Kα. Structure: a PBE+U-relaxed structure.
No peak broadening, texture or thermal motion is included.

Main lines, sorted by position (15° ≤ 2θ ≤ 90°):
d = 4.967 Å, I 77; d = 4.912 Å, I 100; d = 3.606 Å, I 27; d = 3.266 Å, I 59; d = 2.654 Å, I 28; d = 2.615 Å, I 24; d = 2.137 Å, I 17; d = 2.086 Å, I 17; d = 1.881 Å, I 19; d = 1.856 Å, I 16

Structural model:
```
FeH4C2O6
1.0
6.533 -2.835 0.000
6.533 2.835 0.000
-6.444 0.000 7.540
Fe H C O
2 8 4 12
direct
0.100 0.900 0.750 Fe
0.900 0.100 0.250 Fe
0.003 0.702 0.858 H
0.152 0.357 0.355 H
0.298 0.997 0.642 H
0.357 0.152 0.855 H
0.643 0.848 0.145 H
0.702 0.003 0.358 H
0.848 0.643 0.645 H
0.997 0.298 0.142 H
0.347 0.548 0.146 C
0.452 0.653 0.354 C
0.548 0.347 0.646 C
0.653 0.452 0.854 C
0.066 0.251 0.245 O
0.110 0.708 0.070 O
0.251 0.066 0.745 O
0.292 0.890 0.430 O
0.310 0.507 0.569 O
0.493 0.690 0.931 O
0.507 0.310 0.069 O
0.690 0.493 0.431 O
0.708 0.110 0.570 O
0.749 0.934 0.255 O
0.890 0.292 0.930 O
0.934 0.749 0.755 O
```

This entry pairs a crystal structure of FePH3CO7 with its simulated XRD peak list. Radiation: copper Kα. Structure: a PBE+U-relaxed structure.
No peak broadening, texture or thermal motion is included.

Main lines, sorted by position (15° ≤ 2θ ≤ 90°):
d = 5.757 Å, I 100; d = 4.745 Å, I 87; d = 3.721 Å, I 38; d = 3.529 Å, I 80; d = 3.482 Å, I 69; d = 3.081 Å, I 26; d = 2.771 Å, I 15; d = 2.539 Å, I 14; d = 2.382 Å, I 41; d = 2.017 Å, I 14

Structural model:
```
FePH3CO7
1.0
5.115 0.000 0.000
-2.305 7.365 0.000
-1.503 -1.426 7.441
Fe P H C O
2 2 6 2 14
direct
0.042 0.256 0.298 Fe
0.958 0.744 0.702 Fe
0.348 0.458 0.713 P
0.652 0.542 0.287 P
0.255 0.081 0.617 H
0.264 0.404 0.982 H
0.455 0.963 0.681 H
0.545 0.037 0.319 H
0.736 0.596 0.018 H
0.745 0.919 0.383 H
0.120 0.973 0.053 C
0.880 0.027 0.947 C
0.193 0.851 0.971 O
0.199 0.599 0.675 O
0.226 0.056 0.215 O
0.232 0.344 0.854 O
0.257 0.955 0.629 O
0.285 0.308 0.545 O
0.330 0.444 0.210 O
0.670 0.556 0.790 O
0.715 0.692 0.455 O
0.743 0.045 0.371 O
0.768 0.656 0.146 O
0.774 0.944 0.785 O
0.801 0.401 0.325 O
0.807 0.149 0.029 O
```